Theoretical X-ray powder pattern
Compound: YGaPbS4
Radiation: a wavelength of 1.5418 Å
Structure: DFT lattice parameters and positions (GGA-PBE)
No peak broadening, texture or thermal motion is included.

Most intense lines, 10 to 90 degrees two-theta, in order of rising 2θ:
- d = 4.581 Å, rel. 1000
- d = 4.354 Å, rel. 394
- d = 3.348 Å, rel. 823
- d = 3.322 Å, rel. 483
- d = 3.297 Å, rel. 350
- d = 2.674 Å, rel. 678
- d = 2.635 Å, rel. 876
- d = 2.509 Å, rel. 326
- d = 2.291 Å, rel. 610
- d = 1.998 Å, rel. 524

Atomic structure:
```
data_YGaPbS4
_cell_length_a 6.559
_cell_length_b 6.697
_cell_length_c 7.992
_cell_angle_alpha 90.00
_cell_angle_beta 106.73
_cell_angle_gamma 90.00
_space_group_name_H-M_alt 'P 1 21/m 1'
_space_group_IT_number 11
_space_group_name_Hall '-P 2yb'
loop_
_atom_site_label
_atom_site_type_symbol
_atom_site_fract_x
_atom_site_fract_y
_atom_site_fract_z
Y1 Y 0.224 0.250 0.057
Ga1 Ga 0.238 0.750 0.817
Pb1 Pb 0.253 0.250 0.569
S1 S 0.001 0.007 0.772
S2 S 0.445 0.750 0.635
S3 S 0.452 0.750 0.097
```

=====

Theoretical X-ray powder pattern
Compound: Sc6GaPb2
Radiation: a wavelength of 1.5418 Å
Structure: DFT lattice parameters and positions (GGA-PBE)
No peak broadening, texture or thermal motion is included.

Most intense lines, 10 to 90 degrees two-theta, in order of rising 2θ:
- d = 4.041 Å, rel. 282
- d = 3.902 Å, rel. 1000
- d = 3.468 Å, rel. 426
- d = 2.807 Å, rel. 978
- d = 2.592 Å, rel. 760
- d = 2.555 Å, rel. 272
- d = 2.253 Å, rel. 589
- d = 2.159 Å, rel. 605
- d = 1.504 Å, rel. 327
- d = 1.191 Å, rel. 323

Atomic structure:
```
data_Sc6GaPb2
_cell_length_a 7.8049
_cell_length_b 7.8049
_cell_length_c 4.0406
_cell_angle_alpha 90.00
_cell_angle_beta 90.00
_cell_angle_gamma 120.00
_space_group_name_H-M_alt 'P -6 2 m'
_space_group_IT_number 189
_space_group_name_Hall 'P -6 -2'
loop_
_atom_site_label
_atom_site_type_symbol
_atom_site_fract_x
_atom_site_fract_y
_atom_site_fract_z
Sc1 Sc 0.0000 0.3966 0.0000
Sc2 Sc 0.0000 0.7561 0.5000
Ga1 Ga 0.0000 0.0000 0.0000
Pb1 Pb 0.3333 0.6667 0.5000
```

=====

Theoretical X-ray powder pattern
Compound: Sc5GaPb4
Radiation: a wavelength of 1.5418 Å
Structure: DFT lattice parameters and positions (GGA-PBE)
No peak broadening, texture or thermal motion is included.

Most intense lines, 10 to 90 degrees two-theta, in order of rising 2θ:
- d = 3.512 Å, rel. 158
- d = 3.367 Å, rel. 700
- d = 3.141 Å, rel. 121
- d = 2.787 Å, rel. 1000
- d = 2.581 Å, rel. 300
- d = 2.483 Å, rel. 132
- d = 2.341 Å, rel. 376
- d = 1.735 Å, rel. 526
- d = 1.527 Å, rel. 162
- d = 1.423 Å, rel. 160

Atomic structure:
```
data_Sc5GaPb4
_cell_length_a 9.933
_cell_length_b 9.933
_cell_length_c 5.162
_cell_angle_alpha 90.00
_cell_angle_beta 90.00
_cell_angle_gamma 90.00
_space_group_name_H-M_alt 'I 4/m m m'
_space_group_IT_number 139
_space_group_name_Hall '-I 4 2'
loop_
_atom_site_label
_atom_site_type_symbol
_atom_site_fract_x
_atom_site_fract_y
_atom_site_fract_z
Sc1 Sc 0.000 0.000 0.000
Sc2 Sc 0.187 0.187 0.500
Ga1 Ga 0.000 0.000 0.500
Pb1 Pb 0.000 0.310 0.000
```

=====

Theoretical X-ray powder pattern
Compound: Ga4PbSe7
Radiation: a wavelength of 1.5418 Å
Structure: DFT lattice parameters and positions (GGA-PBE)
No peak broadening, texture or thermal motion is included.

Most intense lines, 10 to 90 degrees two-theta, in order of rising 2θ:
- d = 6.202 Å, rel. 265
- d = 4.446 Å, rel. 391
- d = 3.400 Å, rel. 1000
- d = 3.188 Å, rel. 830
- d = 3.101 Å, rel. 255
- d = 3.000 Å, rel. 349
- d = 2.326 Å, rel. 517
- d = 1.968 Å, rel. 469
- d = 1.802 Å, rel. 325
- d = 1.675 Å, rel. 243

Atomic structure:
```
data_Ga4PbSe7
_cell_length_a 15.744
_cell_length_b 6.747
_cell_length_c 6.376
_cell_angle_alpha 90.00
_cell_angle_beta 90.00
_cell_angle_gamma 90.00
_space_group_name_H-M_alt 'P m n 21'
_space_group_IT_number 31
_space_group_name_Hall 'P 2ac -2'
loop_
_atom_site_label
_atom_site_type_symbol
_atom_site_fract_x
_atom_site_fract_y
_atom_site_fract_z
Ga1 Ga 0.124 0.160 0.000
Ga2 Ga 0.246 0.679 0.990
Pb1 Pb 0.000 0.481 0.449
Se1 Se 0.000 0.364 0.907
Se2 Se 0.116 0.826 0.876
Se3 Se 0.121 0.164 0.388
Se4 Se 0.243 0.673 0.383
```

=====

Theoretical X-ray powder pattern
Compound: Ga2PbSe4
Radiation: a wavelength of 1.5418 Å
Structure: DFT lattice parameters and positions (GGA-PBE)
No peak broadening, texture or thermal motion is included.

Most intense lines, 10 to 90 degrees two-theta, in order of rising 2θ:
- d = 5.538 Å, rel. 476
- d = 3.898 Å, rel. 899
- d = 3.146 Å, rel. 391
- d = 3.053 Å, rel. 345
- d = 3.024 Å, rel. 387
- d = 2.744 Å, rel. 313
- d = 2.472 Å, rel. 1000
- d = 2.425 Å, rel. 267
- d = 2.068 Å, rel. 271
- d = 1.968 Å, rel. 191

Atomic structure:
```
data_Ga2PbSe4
_cell_length_a 12.895
_cell_length_b 21.623
_cell_length_c 21.953
_cell_angle_alpha 90.00
_cell_angle_beta 90.00
_cell_angle_gamma 90.00
_space_group_name_H-M_alt 'F d d d'
_space_group_IT_number 70
loop_
_space_group_symop_operation_xyz
'x,y,z'
'-x,-y,-z'
'-x+1/4,-y+1/4,z'
'x+1/4,y+1/4,-z'
'x,-y+1/4,-z+1/4'
'-x,y+1/4,z+1/4'
'-x+1/4,y,-z+1/4'
'x+1/4,-y,z+1/4'
'x,y+1/2,z+1/2'
'-x,-y+1/2,-z+1/2'
'-x+1/4,-y+3/4,z+1/2'
'x+1/4,y+3/4,-z+1/2'
'x,-y+3/4,-z+3/4'
'-x,y+3/4,z+3/4'
'-x+1/4,y+1/2,-z+3/4'
'x+1/4,-y+1/2,z+3/4'
'x+1/2,y,z+1/2'
'-x+1/2,-y,-z+1/2'
'-x+3/4,-y+1/4,z+1/2'
'x+3/4,y+1/4,-z+1/2'
'x+1/2,-y+1/4,-z+3/4'
'-x+1/2,y+1/4,z+3/4'
'-x+3/4,y,-z+3/4'
'x+3/4,-y,z+3/4'
'x+1/2,y+1/2,z'
'-x+1/2,-y+1/2,-z'
'-x+3/4,-y+3/4,z'
'x+3/4,y+3/4,-z'
'x+1/2,-y+3/4,-z+1/4'
'-x+1/2,y+3/4,z+1/4'
'-x+3/4,y+1/2,-z+1/4'
'x+3/4,-y+1/2,z+1/4'
loop_
_atom_site_label
_atom_site_type_symbol
_atom_site_fract_x
_atom_site_fract_y
_atom_site_fract_z
Ga1 Ga 0.084 0.304 0.250
Ga2 Ga 0.123 0.262 0.750
Pb1 Pb 0.125 0.125 0.125
Pb2 Pb 0.125 0.125 0.373
Pb3 Pb 0.125 0.125 0.625
Se1 Se 0.001 0.000 0.585
Se2 Se 0.001 0.000 0.915
Se3 Se 0.001 0.094 0.249
Se4 Se 0.016 0.081 0.751
```

=====

Theoretical X-ray powder pattern
Compound: GaPbSe2
Radiation: a wavelength of 1.5418 Å
Structure: DFT lattice parameters and positions (GGA-PBE)
No peak broadening, texture or thermal motion is included.

Most intense lines, 10 to 90 degrees two-theta, in order of rising 2θ:
- d = 7.026 Å, rel. 127
- d = 3.483 Å, rel. 161
- d = 2.934 Å, rel. 1000
- d = 2.707 Å, rel. 140
- d = 2.112 Å, rel. 370
- d = 2.039 Å, rel. 364
- d = 1.674 Å, rel. 191
- d = 1.331 Å, rel. 170
- d = 1.294 Å, rel. 163
- d = 1.191 Å, rel. 118

Atomic structure:
```
data_GaPbSe2
_cell_length_a 4.0781
_cell_length_b 4.0781
_cell_length_c 21.0771
_cell_angle_alpha 90.00
_cell_angle_beta 90.00
_cell_angle_gamma 120.00
_space_group_name_H-M_alt 'P 32 2 1'
_space_group_IT_number 154
_space_group_name_Hall 'P 32 2"'
loop_
_atom_site_label
_atom_site_type_symbol
_atom_site_fract_x
_atom_site_fract_y
_atom_site_fract_z
Ga1 Ga 0.0000 0.3345 0.3333
Pb1 Pb 0.0000 0.3336 0.8333
Se1 Se 0.0003 0.3333 0.0733
```

=====

Theoretical X-ray powder pattern
Compound: Tl2GaPbSe4
Radiation: a wavelength of 1.5418 Å
Structure: DFT lattice parameters and positions (GGA-PBE)
No peak broadening, texture or thermal motion is included.

Most intense lines, 10 to 90 degrees two-theta, in order of rising 2θ:
- d = 4.051 Å, rel. 498
- d = 3.222 Å, rel. 352
- d = 2.864 Å, rel. 535
- d = 2.659 Å, rel. 1000
- d = 2.223 Å, rel. 308
- d = 1.812 Å, rel. 255
- d = 1.756 Å, rel. 250
- d = 1.611 Å, rel. 261
- d = 1.263 Å, rel. 157
- d = 1.204 Å, rel. 171

Atomic structure:
```
data_Tl2GaPbSe4
_cell_length_a 8.101
_cell_length_b 8.101
_cell_length_c 7.048
_cell_angle_alpha 90.00
_cell_angle_beta 90.00
_cell_angle_gamma 90.00
_space_group_name_H-M_alt 'I -4 2 m'
_space_group_IT_number 121
_space_group_name_Hall 'I -4 2'
loop_
_atom_site_label
_atom_site_type_symbol
_atom_site_fract_x
_atom_site_fract_y
_atom_site_fract_z
Tl1 Tl 0.000 0.500 0.000
Ga1 Ga 0.000 0.000 0.000
Pb1 Pb 0.000 0.000 0.500
Se1 Se 0.174 0.174 0.208
```

=====

Theoretical X-ray powder pattern
Compound: Sm3GaPb
Radiation: a wavelength of 1.5418 Å
Structure: DFT lattice parameters and positions (GGA-PBE)
No peak broadening, texture or thermal motion is included.

Most intense lines, 10 to 90 degrees two-theta, in order of rising 2θ:
- d = 3.165 Å, rel. 410
- d = 2.895 Å, rel. 683
- d = 2.763 Å, rel. 439
- d = 2.751 Å, rel. 728
- d = 2.716 Å, rel. 463
- d = 2.694 Å, rel. 1000
- d = 2.630 Å, rel. 871
- d = 2.605 Å, rel. 676
- d = 2.474 Å, rel. 371
- d = 2.412 Å, rel. 384

Atomic structure:
```
data_Sm3GaPb
_cell_length_a 16.673
_cell_length_b 6.168
_cell_length_c 11.118
_cell_angle_alpha 90.00
_cell_angle_beta 96.79
_cell_angle_gamma 90.00
_space_group_name_H-M_alt 'C 1 2/c 1'
_space_group_IT_number 15
_space_group_name_Hall '-C 2yc'
loop_
_atom_site_label
_atom_site_type_symbol
_atom_site_fract_x
_atom_site_fract_y
_atom_site_fract_z
Sm1 Sm 0.033 0.244 0.431
Sm2 Sm 0.153 0.206 0.946
Sm3 Sm 0.188 0.470 0.228
Ga1 Ga 0.124 0.009 0.682
Pb1 Pb 0.000 0.324 0.750
Pb2 Pb 0.250 0.250 0.500
```

=====

Theoretical X-ray powder pattern
Compound: Ga9Sn2Pb3
Radiation: a wavelength of 1.5418 Å
Structure: DFT lattice parameters and positions (GGA-PBE)
No peak broadening, texture or thermal motion is included.

Most intense lines, 10 to 90 degrees two-theta, in order of rising 2θ:
- d = 4.016 Å, rel. 132
- d = 2.844 Å, rel. 239
- d = 2.757 Å, rel. 180
- d = 2.737 Å, rel. 1000
- d = 2.647 Å, rel. 181
- d = 2.567 Å, rel. 191
- d = 2.347 Å, rel. 206
- d = 2.165 Å, rel. 244
- d = 1.723 Å, rel. 113
- d = 1.591 Å, rel. 123

Atomic structure:
```
data_Ga9Sn2Pb3
_cell_length_a 4.331
_cell_length_b 10.727
_cell_length_c 14.079
_cell_angle_alpha 90.00
_cell_angle_beta 90.00
_cell_angle_gamma 90.00
_space_group_name_H-M_alt 'I m m m'
_space_group_IT_number 71
_space_group_name_Hall '-I 2 2'
loop_
_atom_site_label
_atom_site_type_symbol
_atom_site_fract_x
_atom_site_fract_y
_atom_site_fract_z
Ga1 Ga 0.000 0.000 0.000
Ga2 Ga 0.000 0.120 0.346
Ga3 Ga 0.000 0.225 0.164
Sn1 Sn 0.000 0.304 0.500
Pb1 Pb 0.000 0.500 0.000
Pb2 Pb 0.000 0.500 0.303
```